Diffraction record for Mo3P4O16. The powder X-ray diffraction pattern is computed, not measured: it uses a GGA+U-relaxed structure and Cu Kα.
Peak positions follow from Bragg's law for the DFT cell and can differ from measured ones.

Structure:
abc: 7.7980 7.9209 10.4738
angles: 90.00 94.82 90.00
Space group P2_1 (No. 4)
Symmetry-distinct sites (fractional):
Mo 0.1445 0.0000 0.3194 x2
Mo 0.2625 0.6424 0.8737 x2
Mo 0.2649 0.6084 0.3651 x2
P 0.0443 0.8054 0.0943 x2
P 0.0570 0.8386 0.6055 x2
P 0.4524 0.4316 0.6448 x2
P 0.4613 0.4535 0.1354 x2
O 0.0031 0.4977 0.8486 x2
O 0.0172 0.5127 0.3711 x2
O 0.0892 0.2074 0.4145 x2
O 0.1035 0.1919 0.9215 x2
O 0.1470 0.8397 0.4718 x2
O 0.1613 0.8236 0.9829 x2
O 0.1800 0.7729 0.2196 x2
O 0.1917 0.7772 0.7093 x2
O 0.3267 0.5010 0.0187 x2
O 0.3298 0.4402 0.2487 x2
O 0.3414 0.4928 0.5253 x2
O 0.3454 0.4563 0.7589 x2
O 0.3851 0.0542 0.3365 x2
O 0.4019 0.0783 0.8356 x2
O 0.4866 0.7512 0.3781 x2
O 0.4870 0.7647 0.8854 x2

Top 10 peaks for 10 to 90 degrees two-theta, in order of falling intensity:
| two_theta | Rel. int. | h k l |
| --- | --- | --- |
| 15.98 | 100 | 1 1 0 |
| 25.54 | 53 | 2 1 0 |
| 21.29 | 49 | 1 0 2 |
| 30.02 | 46 | 1 2 -2 |
| 19.68 | 42 | 1 0 -2 |
| 22.68 | 37 | 1 1 -2 |
| 38.20 | 29 | 0 3 2 |
| 24.09 | 26 | 1 1 2 |
| 31.14 | 25 | 1 2 2 |
| 32.28 | 24 | 2 2 0 |